Diffraction record for LaDyMg6. The powder X-ray diffraction pattern is simulated, not measured: it uses a structure optimized by DFT (GGA-PBE) and Cu Ka.
No peak broadening, texture or thermal motion is included.

Principal peaks in the range 10 to 90 degrees two-theta, in order of rising 2θ:
2θ/deg, Rel. int.
20.8, 68.4
24.0, 36.3
34.2, 100.0
40.4, 37.6
53.9, 16.3
61.3, 36.1

Crystal structure
a = 5.235 Å, b = 5.235 Å, c = 7.418 Å
α = 90.00°, β = 90.00°, γ = 90.00°
Fractional coordinates of all 8 atoms:
La (0.000, 0.000, 0.000)
Dy (0.500, 0.500, 0.500)
Mg (0.000, 0.000, 0.500)
Mg (0.000, 0.500, 0.259)
Mg (0.000, 0.500, 0.741)
Mg (0.500, 0.000, 0.259)
Mg (0.500, 0.000, 0.741)
Mg (0.500, 0.500, 0.000)

---

Diffraction record for La2Pd. The powder X-ray diffraction pattern is simulated, not measured: it uses a structure optimized by DFT (GGA-PBE) and Cu Ka.
No peak broadening, texture or thermal motion is included.

Principal peaks in the range 10 to 90 degrees two-theta, in order of rising 2θ:
2θ/deg, Rel. int.
28.8, 20.0
33.9, 100.0
35.5, 48.4
54.4, 34.3
59.7, 31.0
85.0, 21.4

Crystal structure
a = 6.199 Å, b = 6.199 Å, c = 6.199 Å
α = 60.00°, β = 60.00°, γ = 60.00°
Fractional coordinates of all 6 atoms:
La (0.000, 0.000, 0.000)
La (0.000, 0.000, 0.500)
La (0.000, 0.500, 0.000)
La (0.500, 0.000, 0.000)
Pd (0.375, 0.375, 0.375)
Pd (0.625, 0.625, 0.625)